[1]
Structure and computed powder diffraction line list of Tm4MgMn (a structure optimized by DFT (GGA-PBE); Cu Kα, 1.54184 Å).
Kinematic intensities with the Lorentz-polarization factor, no thermal factor.

Most intense lines, 10° ≤ 2θ ≤ 80°, by intensity:
- d = 2.680 Å, rel. 100
- d = 2.810 Å, rel. 82
- d = 2.878 Å, rel. 63
- d = 7.005 Å, rel. 49
- d = 2.426 Å, rel. 39
- d = 3.369 Å, rel. 36
- d = 2.494 Å, rel. 36
- d = 2.774 Å, rel. 28
- d = 3.792 Å, rel. 27
- d = 1.622 Å, rel. 25

Atomic structure:
Unit cell a=7.751 b=7.751 c=5.911 alpha=100.07 beta=100.07 gamma=110.74
Atoms (fractional coordinates):
Tm 0.064 0.729 0.949
Tm 0.191 0.359 0.624
Tm 0.271 0.936 0.551
Tm 0.359 0.191 0.124
Tm 0.641 0.809 0.876
Tm 0.729 0.064 0.449
Tm 0.809 0.641 0.376
Tm 0.936 0.271 0.051
Mg 0.380 0.620 0.250
Mg 0.620 0.380 0.750
Mn 0.001 0.999 0.750
Mn 0.999 0.001 0.250

=====

[2]
Structure and computed powder diffraction line list of K2Tl5In3 (a structure optimized by DFT (GGA-PBE); Cu Kα, 1.54184 Å).
Kinematic intensities with the Lorentz-polarization factor, no thermal factor.

Most intense lines, 10° ≤ 2θ ≤ 80°, by intensity:
- d = 3.176 Å, rel. 100
- d = 2.411 Å, rel. 89
- d = 2.585 Å, rel. 74
- d = 4.795 Å, rel. 55
- d = 6.414 Å, rel. 46
- d = 1.457 Å, rel. 38
- d = 1.828 Å, rel. 26
- d = 1.584 Å, rel. 26
- d = 3.295 Å, rel. 24
- d = 2.298 Å, rel. 22

Atomic structure:
Unit cell a=5.170 b=5.170 c=12.828 alpha=90.00 beta=90.00 gamma=90.00
Atoms (fractional coordinates):
K 0.000 0.500 0.243
K 0.500 0.000 0.757
Tl 0.000 0.000 0.500
Tl 0.000 0.500 0.643
Tl 0.500 0.000 0.357
Tl 0.500 0.500 0.000
Tl 0.500 0.500 0.500
In 0.000 0.000 0.000
In 0.000 0.500 0.872
In 0.500 0.000 0.128

=====

[3]
Structure and computed powder diffraction line list of CaErHgPb (a structure optimized by DFT (GGA-PBE); Cu Kα, 1.54184 Å).
Kinematic intensities with the Lorentz-polarization factor, no thermal factor.

Most intense lines, 10° ≤ 2θ ≤ 80°, by intensity:
- d = 2.725 Å, rel. 100
- d = 2.633 Å, rel. 23
- d = 2.567 Å, rel. 21
- d = 1.537 Å, rel. 18
- d = 1.511 Å, rel. 17
- d = 1.838 Å, rel. 16
- d = 2.029 Å, rel. 13
- d = 1.362 Å, rel. 12
- d = 3.676 Å, rel. 11
- d = 1.270 Å, rel. 11

Atomic structure:
Unit cell a=4.059 b=5.134 c=5.266 alpha=90.00 beta=90.00 gamma=90.00
Atoms (fractional coordinates):
Ca 0.000 0.000 0.000
Er 0.000 0.500 0.500
Hg 0.500 0.500 0.000
Pb 0.500 0.000 0.500

=====

[4]
Structure and computed powder diffraction line list of DyY2Ni (a structure optimized by DFT (GGA-PBE); Cu Kα, 1.54184 Å).
Kinematic intensities with the Lorentz-polarization factor, no thermal factor.

Most intense lines, 10° ≤ 2θ ≤ 80°, by intensity:
- d = 2.766 Å, rel. 100
- d = 2.863 Å, rel. 87
- d = 2.884 Å, rel. 83
- d = 2.793 Å, rel. 65
- d = 2.558 Å, rel. 47
- d = 1.868 Å, rel. 36
- d = 2.643 Å, rel. 34
- d = 1.607 Å, rel. 25
- d = 1.601 Å, rel. 25
- d = 4.809 Å, rel. 24

Atomic structure:
Unit cell a=6.863 b=9.618 c=6.367 alpha=90.00 beta=90.00 gamma=90.00
Atoms (fractional coordinates):
Dy 0.035 0.250 0.141
Dy 0.465 0.750 0.641
Dy 0.535 0.250 0.359
Dy 0.965 0.750 0.859
Y 0.178 0.066 0.679
Y 0.178 0.434 0.679
Y 0.322 0.566 0.179
Y 0.322 0.934 0.179
Y 0.678 0.066 0.821
Y 0.678 0.434 0.821
Y 0.822 0.566 0.321
Y 0.822 0.934 0.321
Ni 0.110 0.750 0.451
Ni 0.390 0.250 0.951
Ni 0.610 0.750 0.049
Ni 0.890 0.250 0.549

=====

[5]
Structure and computed powder diffraction line list of Tm5SeS4 (a structure optimized by DFT (GGA-PBE); Cu Kα, 1.54184 Å).
Kinematic intensities with the Lorentz-polarization factor, no thermal factor.

Most intense lines, 10° ≤ 2θ ≤ 80°, by intensity:
- d = 2.742 Å, rel. 100
- d = 1.939 Å, rel. 71
- d = 3.166 Å, rel. 68
- d = 1.653 Å, rel. 31
- d = 1.226 Å, rel. 30
- d = 1.583 Å, rel. 24
- d = 1.258 Å, rel. 12
- d = 1.371 Å, rel. 11
- d = 1.563 Å, rel. 1
- d = 2.650 Å, rel. 1

Atomic structure:
Unit cell a=15.998 b=15.998 c=15.998 alpha=13.91 beta=13.91 gamma=13.91
Atoms (fractional coordinates):
Tm 0.000 0.000 0.000
Tm 0.204 0.204 0.204
Tm 0.399 0.399 0.399
Tm 0.601 0.601 0.601
Tm 0.796 0.796 0.796
Se 0.500 0.500 0.500
S 0.098 0.098 0.098
S 0.301 0.301 0.301
S 0.699 0.699 0.699
S 0.902 0.902 0.902

=====

[6]
Structure and computed powder diffraction line list of Nd2YIn3 (a structure optimized by DFT (GGA-PBE); Cu Kα, 1.54184 Å).
Kinematic intensities with the Lorentz-polarization factor, no thermal factor.

Most intense lines, 10° ≤ 2θ ≤ 80°, by intensity:
- d = 2.856 Å, rel. 100
- d = 2.800 Å, rel. 80
- d = 2.474 Å, rel. 72
- d = 2.740 Å, rel. 72
- d = 2.447 Å, rel. 46
- d = 2.456 Å, rel. 36
- d = 3.167 Å, rel. 35
- d = 2.578 Å, rel. 30
- d = 1.550 Å, rel. 29
- d = 1.880 Å, rel. 28

Atomic structure:
Unit cell a=14.799 b=14.799 c=6.613 alpha=90.00 beta=90.00 gamma=165.40
Atoms (fractional coordinates):
Nd 0.006 0.994 0.750
Nd 0.154 0.846 0.250
Nd 0.846 0.154 0.750
Nd 0.994 0.006 0.250
Y 0.331 0.669 0.250
Y 0.669 0.331 0.750
In 0.255 0.745 0.750
In 0.422 0.578 0.511
In 0.422 0.578 0.989
In 0.578 0.422 0.011
In 0.578 0.422 0.489
In 0.745 0.255 0.250

=====

[7]
Structure and computed powder diffraction line list of LiB6C6 (a structure optimized by DFT (GGA-PBE); Cu Kα, 1.54184 Å).
Kinematic intensities with the Lorentz-polarization factor, no thermal factor.

Most intense lines, 10° ≤ 2θ ≤ 80°, by intensity:
- d = 6.606 Å, rel. 100
- d = 4.502 Å, rel. 12
- d = 2.324 Å, rel. 9
- d = 3.108 Å, rel. 8
- d = 3.303 Å, rel. 8
- d = 5.023 Å, rel. 6
- d = 2.202 Å, rel. 6
- d = 2.155 Å, rel. 5
- d = 1.353 Å, rel. 3
- d = 6.808 Å, rel. 2

Atomic structure:
Unit cell a=6.981 b=6.981 c=6.646 alpha=96.15 beta=96.15 gamma=22.35
Atoms (fractional coordinates):
Li 0.000 0.000 0.000
B 0.090 0.090 0.713
B 0.244 0.244 0.379
B 0.429 0.429 0.678
B 0.571 0.571 0.322
B 0.756 0.756 0.621
B 0.910 0.910 0.287
C 0.131 0.131 0.367
C 0.189 0.189 0.605
C 0.461 0.461 0.251
C 0.539 0.539 0.749
C 0.811 0.811 0.395
C 0.869 0.869 0.633

=====

[8]
Structure and computed powder diffraction line list of BaAlGaAg2 (a structure optimized by DFT (GGA-PBE); Cu Kα, 1.54184 Å).
Kinematic intensities with the Lorentz-polarization factor, no thermal factor.

Most intense lines, 10° ≤ 2θ ≤ 80°, by intensity:
- d = 2.836 Å, rel. 100
- d = 2.908 Å, rel. 98
- d = 1.817 Å, rel. 48
- d = 2.015 Å, rel. 38
- d = 2.331 Å, rel. 37
- d = 2.323 Å, rel. 37
- d = 1.523 Å, rel. 30
- d = 3.291 Å, rel. 29
- d = 4.300 Å, rel. 28
- d = 1.645 Å, rel. 25

Atomic structure:
Unit cell a=6.485 b=6.485 c=6.485 alpha=138.01 beta=137.87 gamma=61.00
Atoms (fractional coordinates):
Ba 0.000 0.000 0.000
Al 0.251 0.751 0.500
Ga 0.375 0.375 0.000
Ag 0.620 0.620 0.000
Ag 0.763 0.263 0.500